Record 1
Computed powder XRD pattern of CsCuCl3 for Cu Kα (λ = 1.5418 Å), from a structure optimized by DFT (GGA-PBE).
Kinematic intensities with the Lorentz-polarization factor, no thermal factor.

Most intense lines, 2θ = 5–70°, most intense first:
(2 0 1), 2θ 31.9, I = 100
(1 1 0), 2θ 24.3, I = 65
(1 0 1), 2θ 20.3, I = 55
(2 0 2), 2θ 41.4, I = 39
(2 2 0), 2θ 49.9, I = 28
(2 1 2), 2θ 48.6, I = 27

Structural model:
Lattice parameters (Å, degrees): 7.3113 7.3113 6.0305 90.00 90.00 120.00
Space group P6_3mc (No. 186)
One atom of each set of equivalent atoms:
1 Cs 0.3333 0.6667 0.0000 x2
2 Cu 0.0000 0.0000 0.2686 x2
3 Cl 0.1532 0.3064 0.5202 x6

Record 2
Computed powder XRD pattern of RbCu2H2C3N3O for Cu Kα (λ = 1.5418 Å), from a structure optimized by DFT (GGA-PBE).
Kinematic intensities with the Lorentz-polarization factor, no thermal factor.

Most intense lines, 2θ = 5–70°, most intense first:
(3 1 -1), 2θ 26.6, I = 100
(2 0 2), 2θ 27.6, I = 96
(3 1 0), 2θ 24.4, I = 48
(3 1 -2), 2θ 33.0, I = 45
(0 2 1), 2θ 24.2, I = 43
(1 2 2), 2θ 32.5, I = 39

Structural model:
Lattice parameters (Å, degrees): 12.174 8.356 7.810 90.00 92.21 90.00
Space group P2_1/c (No. 14)
One atom of each set of equivalent atoms:
1 Rb 0.201 0.060 0.144 x4
2 Cu 0.068 0.607 0.127 x4
3 Cu 0.399 0.717 0.322 x4
4 H 0.364 0.143 0.519 x4
5 H 0.390 0.221 0.894 x4
6 C 0.040 0.087 0.732 x4
7 C 0.273 0.726 0.939 x4
8 C 0.468 0.523 0.271 x4
9 N 0.018 0.203 0.810 x4
10 N 0.194 0.683 0.009 x4
11 N 0.484 0.596 0.757 x4
12 O 0.328 0.221 0.442 x4

Record 3
Computed powder XRD pattern of Li2NdIn for Cu Kα (λ = 1.5418 Å), from a structure optimized by DFT (GGA-PBE).
Kinematic intensities with the Lorentz-polarization factor, no thermal factor.

Most intense lines, 2θ = 5–70°, most intense first:
(2 0 0), 2θ 25.4, I = 100
(2 2 0), 2θ 36.3, I = 93
(4 2 0), 2θ 58.9, I = 38
(4 2 2), 2θ 65.2, I = 33
(2 2 2), 2θ 44.8, I = 29
(4 0 0), 2θ 52.2, I = 16

Structural model:
Lattice parameters (Å, degrees): 7.007 7.007 7.007 90.00 90.00 90.00
Space group Fm-3m (No. 225)
One atom of each set of equivalent atoms:
1 Li 0.250 0.250 0.250 x8
2 Nd 0.000 0.000 0.000 x4
3 In 0.000 0.000 0.500 x4